No. 1
Na4Cu6O5: theoretical X-ray diffraction stick pattern (copper Kα), based on a crystal structure in the Materials Project, relaxed with PBE.

Cell and atoms:
```
data_Na4Cu6O5
_cell_length_a 7.8110
_cell_length_b 7.8110
_cell_length_c 8.0525
_cell_angle_alpha 90.00
_cell_angle_beta 90.00
_cell_angle_gamma 120.00
_space_group_name_H-M_alt 'P -6 2 c'
_space_group_IT_number 190
_space_group_name_Hall 'P -6c -2c'
loop_
_atom_site_label
_atom_site_type_symbol
_atom_site_fract_x
_atom_site_fract_y
_atom_site_fract_z
_atom_site_occupancy
Na1 Na 0.0000 0.0000 0.0000 1
Na2 Na 0.1208 0.4084 0.2500 1
Cu1 Cu 0.1679 0.7124 0.5906 1
O1 O 0.0515 0.7899 0.7500 1
O2 O 0.3333 0.6667 0.0542 1
```

Largest 10 diffraction maxima, in order of rising 2θ, 2θ from 10° to 90°:
13.1 deg, rel. 66
17.1 deg, rel. 83
22.8 deg, rel. 48
35.1 deg, rel. 80
36.0 deg, rel. 84
36.9 deg, rel. 100
43.0 deg, rel. 31
46.5 deg, rel. 32
49.2 deg, rel. 65
53.0 deg, rel. 35


No. 2
NaCu2O3: theoretical X-ray diffraction stick pattern (copper Kα), based on a crystal structure in the Materials Project, relaxed with PBE.

Cell and atoms:
```
data_NaCu2O3
_cell_length_a 3.7924
_cell_length_b 10.0825
_cell_length_c 3.9157
_cell_angle_alpha 90.00
_cell_angle_beta 90.00
_cell_angle_gamma 90.00
_space_group_name_H-M_alt 'P m m n'
_space_group_IT_number 59
loop_
_space_group_symop_operation_xyz
'x,y,z'
'-x,-y,-z'
'-x+1/2,-y+1/2,z'
'x+1/2,y+1/2,-z'
'x+1/2,-y,-z'
'-x+1/2,y,z'
'-x,y+1/2,-z'
'x,-y+1/2,z'
loop_
_atom_site_label
_atom_site_type_symbol
_atom_site_fract_x
_atom_site_fract_y
_atom_site_fract_z
_atom_site_occupancy
Na1 Na 0.2500 0.2500 0.1957 1
Cu1 Cu 0.2500 0.5914 0.3433 1
O1 O 0.2500 0.0701 0.5905 1
O2 O 0.2500 0.7500 0.1078 1
```

Largest 10 diffraction maxima, in order of rising 2θ, 2θ from 10° to 90°:
22.7 deg, rel. 54
24.4 deg, rel. 43
25.1 deg, rel. 33
28.9 deg, rel. 42
32.9 deg, rel. 99
35.2 deg, rel. 100
35.7 deg, rel. 66
48.0 deg, rel. 42
60.9 deg, rel. 36
65.2 deg, rel. 40


No. 3
Na12Cu7O14: theoretical X-ray diffraction stick pattern (copper Kα), based on a crystal structure in the Materials Project, relaxed with PBE.

Cell and atoms:
```
data_Na12Cu7O14
_cell_length_a 8.3488
_cell_length_b 19.9454
_cell_length_c 5.7223
_cell_angle_alpha 90.00
_cell_angle_beta 110.89
_cell_angle_gamma 90.00
_space_group_name_H-M_alt 'C 1 m 1'
_space_group_IT_number 8
_space_group_name_Hall 'C -2y'
loop_
_atom_site_label
_atom_site_type_symbol
_atom_site_fract_x
_atom_site_fract_y
_atom_site_fract_z
_atom_site_occupancy
Na1 Na 0.0000 0.0000 0.0000 1
Na2 Na 0.0072 0.1542 0.9966 1
Na3 Na 0.0605 0.3346 0.0408 1
Na4 Na 0.0640 0.5000 0.0576 1
Na5 Na 0.1812 0.4169 0.7101 1
Na6 Na 0.2363 0.2294 0.7773 1
Na7 Na 0.2414 0.0750 0.7730 1
Cu1 Cu 0.3591 0.0712 0.3610 1
Cu2 Cu 0.3752 0.2140 0.3828 1
Cu3 Cu 0.3828 0.5000 0.4106 1
Cu4 Cu 0.3845 0.3575 0.4048 1
O1 O 0.3016 0.0000 0.1159 1
O2 O 0.3089 0.1464 0.1269 1
O3 O 0.3094 0.4274 0.1538 1
O4 O 0.3286 0.2872 0.1583 1
O5 O 0.4188 0.1417 0.6164 1
O6 O 0.4366 0.0000 0.6157 1
O7 O 0.4384 0.2824 0.6317 1
O8 O 0.4423 0.4264 0.6538 1
```

Largest 10 diffraction maxima, in order of rising 2θ, 2θ from 10° to 90°:
16.6 deg, rel. 59
22.8 deg, rel. 100
22.9 deg, rel. 92
32.9 deg, rel. 39
33.2 deg, rel. 45
39.5 deg, rel. 36
43.4 deg, rel. 66
44.9 deg, rel. 57
51.2 deg, rel. 43
54.9 deg, rel. 35


No. 4
NaCu3O4: theoretical X-ray diffraction stick pattern (copper Kα), based on a crystal structure in the Materials Project, relaxed with PBE.

Cell and atoms:
```
data_NaCu3O4
_cell_length_a 3.5121
_cell_length_b 5.4559
_cell_length_c 6.0555
_cell_angle_alpha 116.53
_cell_angle_beta 90.05
_cell_angle_gamma 90.02
_space_group_name_H-M_alt 'P 1'
_space_group_IT_number 1
_space_group_name_Hall 'P 1'
loop_
_atom_site_label
_atom_site_type_symbol
_atom_site_fract_x
_atom_site_fract_y
_atom_site_fract_z
_atom_site_occupancy
Na1 Na 0.0000 0.0000 0.0000 1
Cu1 Cu 0.4960 0.7670 0.5235 1
Cu2 Cu 0.5035 0.2509 0.4912 1
Cu3 Cu 0.5135 0.5090 0.0084 1
O1 O 0.4930 0.4038 0.2694 1
O2 O 0.4963 0.8768 0.2683 1
O3 O 0.4966 0.1408 0.7467 1
O4 O 0.5073 0.6151 0.7466 1
```

Largest 10 diffraction maxima, in order of rising 2θ, 2θ from 10° to 90°:
25.4 deg, rel. 100
30.3 deg, rel. 19
31.4 deg, rel. 29
32.8 deg, rel. 22
33.1 deg, rel. 21
47.2 deg, rel. 23
47.4 deg, rel. 23
52.1 deg, rel. 17
54.3 deg, rel. 20
54.5 deg, rel. 19


No. 5
Na2CuO2: theoretical X-ray diffraction stick pattern (copper Kα), based on a crystal structure in the Materials Project, relaxed with PBE.

Cell and atoms:
```
data_Na2CuO2
_cell_length_a 5.7444
_cell_length_b 8.6670
_cell_length_c 4.0588
_cell_angle_alpha 90.00
_cell_angle_beta 134.80
_cell_angle_gamma 90.00
_space_group_name_H-M_alt 'C 1 2/m 1'
_space_group_IT_number 12
_space_group_name_Hall '-C 2y'
loop_
_atom_site_label
_atom_site_type_symbol
_atom_site_fract_x
_atom_site_fract_y
_atom_site_fract_z
_atom_site_occupancy
Na1 Na 0.0000 0.2502 0.0000 1
Cu1 Cu 0.0000 0.0000 0.5000 1
O1 O 0.0000 0.0000 0.0000 1
O2 O 0.0000 0.5000 0.0000 1
```

Largest 10 diffraction maxima, in order of rising 2θ, 2θ from 10° to 90°:
20.5 deg, rel. 24
24.2 deg, rel. 100
37.5 deg, rel. 48
38.2 deg, rel. 30
41.7 deg, rel. 27
44.5 deg, rel. 22
44.7 deg, rel. 22
51.3 deg, rel. 12
62.6 deg, rel. 14
62.7 deg, rel. 14


No. 6
NaCu3O4: theoretical X-ray diffraction stick pattern (copper Kα), based on a crystal structure in the Materials Project, relaxed with PBE.

Cell and atoms:
```
data_NaCu3O4
_cell_length_a 3.7101
_cell_length_b 5.4352
_cell_length_c 5.8950
_cell_angle_alpha 115.33
_cell_angle_beta 95.37
_cell_angle_gamma 91.39
_space_group_name_H-M_alt 'P 1'
_space_group_IT_number 1
_space_group_name_Hall 'P 1'
loop_
_atom_site_label
_atom_site_type_symbol
_atom_site_fract_x
_atom_site_fract_y
_atom_site_fract_z
_atom_site_occupancy
Na1 Na 0.0000 0.0000 0.0000 1
Cu1 Cu 0.4704 0.7554 0.5172 1
Cu2 Cu 0.5016 0.4994 0.9982 1
Cu3 Cu 0.5341 0.2441 0.4798 1
O1 O 0.3913 0.3957 0.2546 1
O2 O 0.4440 0.8710 0.2555 1
O3 O 0.5618 0.1283 0.7413 1
O4 O 0.6126 0.6038 0.7424 1
```

Largest 10 diffraction maxima, in order of rising 2θ, 2θ from 10° to 90°:
24.2 deg, rel. 100
27.9 deg, rel. 19
31.2 deg, rel. 18
31.4 deg, rel. 11
33.0 deg, rel. 21
33.9 deg, rel. 19
37.7 deg, rel. 13
47.1 deg, rel. 23
48.9 deg, rel. 20
49.5 deg, rel. 14


No. 7
NaCu3O4: theoretical X-ray diffraction stick pattern (copper Kα), based on a crystal structure in the Materials Project, relaxed with PBE.

Cell and atoms:
```
data_NaCu3O4
_cell_length_a 10.8359
_cell_length_b 5.4559
_cell_length_c 3.5121
_cell_angle_alpha 90.00
_cell_angle_beta 90.07
_cell_angle_gamma 90.00
_space_group_name_H-M_alt 'C 1 m 1'
_space_group_IT_number 8
_space_group_name_Hall 'C -2y'
loop_
_atom_site_label
_atom_site_type_symbol
_atom_site_fract_x
_atom_site_fract_y
_atom_site_fract_z
_atom_site_occupancy
Na1 Na 0.0000 0.0000 0.0000 1
Cu1 Cu 0.2382 0.0000 0.5040 1
Cu2 Cu 0.2544 0.5000 0.4965 1
Cu3 Cu 0.4958 0.0000 0.4865 1
O1 O 0.1267 0.2582 0.4927 1
O2 O 0.3658 0.2426 0.5037 1
```

Largest 10 diffraction maxima, in order of rising 2θ, 2θ from 10° to 90°:
25.4 deg, rel. 100
30.3 deg, rel. 19
31.4 deg, rel. 28
32.8 deg, rel. 22
33.1 deg, rel. 21
39.4 deg, rel. 24
47.3 deg, rel. 46
52.1 deg, rel. 17
54.4 deg, rel. 39
73.0 deg, rel. 21